Dy4Al5Ga6: calculated X-ray powder pattern (a wavelength of 1.5418 Å), based on a structure optimized by DFT (PBE).
Lines closer than 0.1° are merged.

Most intense lines, 2θ from 10° to 90°, by angle:
d = 7.680 Å, 2θ = 11.5°, intensity 26, (0 0 2); d = 4.195 Å, 2θ = 21.2°, intensity 28, (1 1 0); d = 2.979 Å, 2θ = 30.0°, intensity 21, (0 4 4); d = 2.919 Å, 2θ = 30.6°, intensity 35, (0 2 5); d = 2.835 Å, 2θ = 31.6°, intensity 80, (1 5 0); d = 2.792 Å, 2θ = 32.1°, intensity 30, (1 5 1); d = 2.482 Å, 2θ = 36.2°, intensity 100, (1 5 3); d = 2.284 Å, 2θ = 39.5°, intensity 23, (1 5 4); d = 2.151 Å, 2θ = 42.0°, intensity 42, (2 0 0); d = 1.772 Å, 2θ = 51.6°, intensity 22, (0 10 3)

Structural model:
```
data_Dy4Al5Ga6
_chemical_formula_sum 'Dy16 Al20 Ga24'
_cell_length_a 4.3029
_cell_length_b 18.8896
_cell_length_c 15.3604
_cell_angle_alpha 90.00
_cell_angle_beta 90.00
_cell_angle_gamma 90.00
_space_group_name_H-M_alt 'C m c 21'
_space_group_IT_number 36
loop_
_space_group_symop_operation_xyz
'x,y,z'
'-x,-y,z+1/2'
'-x,y,z'
'x,-y,z+1/2'
'x+1/2,y+1/2,z'
'-x+1/2,-y+1/2,z+1/2'
'-x+1/2,y+1/2,z'
'x+1/2,-y+1/2,z+1/2'
loop_
_atom_site_label
_atom_site_fract_x
_atom_site_fract_y
_atom_site_fract_z
Dy1 0.0000 0.0210 0.0000
Dy2 0.0000 0.0342 0.2691
Dy3 0.0000 0.1647 0.8058
Dy4 0.0000 0.1766 0.4452
Al1 0.0000 0.1511 0.1302
Al2 0.0000 0.3033 0.1233
Al3 0.0000 0.3418 0.7798
Al4 0.0000 0.3499 0.4814
Al5 0.0000 0.4360 0.1912
Ga1 0.0000 0.1094 0.6157
Ga2 0.0000 0.2235 0.9860
Ga3 0.0000 0.2323 0.2669
Ga4 0.0000 0.4294 0.9130
Ga5 0.0000 0.4313 0.6332
Ga6 0.0000 0.4425 0.3596
```